No. 1
For LiDy4Tl, DFT lattice parameters and positions (PBE) gives the theoretical X-ray diffraction stick pattern in this record (Cu Kα).
Neutral-atom scattering factors, no anomalous dispersion.

Cell and atoms:
```
LiDy4Tl
1.0
5.031 0.000 0.000
0.000 5.031 0.000
0.000 0.000 7.530
Li Dy Tl
1 4 1
Cartesian
0.000 0.000 0.000 Li
0.000 2.516 1.842 Dy
0.000 2.516 5.688 Dy
2.516 0.000 1.842 Dy
2.516 0.000 5.688 Dy
2.516 2.516 3.765 Tl
```

Peak list (10 most intense, 5 to 70 degrees two-theta, in order of rising 2θ)
2θ (°)	intensity	index
17.63	14	1 0 0
21.24	20	1 0 1
23.63	18	0 0 2
25.03	31	1 1 0
34.69	100	1 1 2
35.70	49	2 0 0
43.25	14	2 0 2
51.38	20	2 2 0
61.53	19	2 0 4
63.48	35	3 1 2

=====

No. 2
For Cu4Si2P3, DFT lattice parameters and positions (PBE) gives the theoretical X-ray diffraction stick pattern in this record (Cu Kα).
Neutral-atom scattering factors, no anomalous dispersion.

Cell and atoms:
```
Cu4Si2P3
1.0
6.369 0.000 0.000
-3.185 5.516 0.000
0.000 0.000 3.560
Cu Si P
4 2 3
Cartesian
0.000 0.000 0.000 Cu
-2.356 4.080 1.780 Cu
0.829 1.436 1.780 Cu
4.712 0.000 1.780 Cu
0.000 3.677 1.780 Si
3.185 1.839 1.780 Si
-1.158 2.006 0.000 P
2.316 0.000 0.000 P
2.026 3.510 0.000 P
```

Peak list (10 most intense, 5 to 70 degrees two-theta, in order of rising 2θ)
2θ (°)	intensity	index
16.07	64	1 0 0
25.01	10	0 0 1
28.02	10	1 1 0
37.91	100	1 1 1
41.41	52	2 0 1
43.40	30	2 1 0
49.58	39	3 0 0
50.75	58	2 1 1
51.33	23	0 0 2
69.43	13	2 1 2

=====

No. 3
For CoSnAsBr2, DFT lattice parameters and positions (PBE) gives the theoretical X-ray diffraction stick pattern in this record (Cu Kα).
Neutral-atom scattering factors, no anomalous dispersion.

Cell and atoms:
```
CoSnAsBr2
1.0
4.986 0.000 0.000
0.000 4.986 0.000
0.000 0.000 4.677
Co Sn As Br
1 1 1 2
Cartesian
0.000 0.000 0.000 Co
2.493 2.493 2.339 Sn
0.000 0.000 2.339 As
0.000 2.493 0.000 Br
2.493 0.000 0.000 Br
```

Peak list (10 most intense, 5 to 70 degrees two-theta, in order of rising 2θ)
2θ (°)	intensity	index
26.12	21	1 0 1
31.78	100	1 1 1
36.03	71	2 0 0
38.49	30	0 0 2
45.04	10	2 1 1
51.87	25	2 2 0
53.74	44	2 0 2
62.12	30	3 1 1
65.46	13	1 1 3
66.41	23	2 2 2